The following is a computed X-ray diffraction stick pattern of SnSe. It was derived from a DFT-relaxed cell (GGA-PBE, the Materials Project), using λ = 1.5418 Å (Cu Kα).
Lines closer than 0.1° are merged.

Cell and atoms:
a = 4.322 Å, b = 4.322 Å, c = 12.083 Å
α = 90.00°, β = 90.00°, γ = 90.00°
Space group P4/nmm (No. 129, origin choice 2)
Inequivalent atoms, fractional coordinates:
Sn  0.250  0.250  0.114 x2
Se  0.250  0.250  0.889 x2

Main lines, by angle (10 to 90 degrees two-theta):
two_theta, I (rel.), h k l
22.07, 26.2, 0 0 3
29.22, 94.1, 1 1 0
29.57, 41.4, 0 0 4
30.16, 100.0, 1 1 1
36.92, 28.0, 1 1 3
41.80, 35.9, 2 0 0
42.06, 64.0, 1 1 4
42.50, 39.5, 2 0 1
48.00, 40.8, 1 1 5
52.03, 34.5, 2 0 4
57.19, 24.3, 2 0 5
76.50, 22.9, 3 1 4



The following is a computed X-ray diffraction stick pattern of U3O8. It was derived from a DFT-relaxed cell (GGA-PBE, the Materials Project), using λ = 1.5418 Å (Cu Kα).
Lines closer than 0.1° are merged.

Cell and atoms:
a = 7.015 Å, b = 11.605 Å, c = 4.160 Å
α = 90.00°, β = 90.00°, γ = 90.00°
Space group Cmmm (No. 65)
Inequivalent atoms, fractional coordinates:
U  0.000  0.000  0.000 x2
U  0.000  0.319  0.000 x4
O  0.000  0.000  0.500 x2
O  0.000  0.316  0.500 x4
O  0.000  0.500  0.000 x2
O  0.185  0.147  0.000 x8

Main lines, by angle (10 to 90 degrees two-theta):
two_theta, I (rel.), h k l
21.36, 93.2, 0 0 1
25.39, 59.4, 2 0 0
26.31, 100.0, 1 3 0
33.42, 43.6, 2 0 1
34.13, 75.1, 1 3 1
43.51, 19.1, 0 0 2
45.32, 29.3, 3 3 0
50.62, 33.4, 3 3 1
51.05, 18.4, 2 0 2
51.56, 32.8, 1 3 2
52.15, 23.7, 4 0 0
64.63, 20.4, 3 3 2



The following is a computed X-ray diffraction stick pattern of TmMnRh2. It was derived from a DFT-relaxed cell (GGA-PBE, the Materials Project), using λ = 1.5418 Å (Cu Kα).
Lines closer than 0.1° are merged.

Cell and atoms:
a = 6.449 Å, b = 6.449 Å, c = 6.449 Å
α = 90.00°, β = 90.00°, γ = 90.00°
Space group Fm-3m (No. 225)
Inequivalent atoms, fractional coordinates:
Tm  0.000  0.000  0.000 x4
Mn  0.000  0.000  0.500 x4
Rh  0.250  0.250  0.250 x8

Main lines, by angle (10 to 90 degrees two-theta):
two_theta, I (rel.), h k l
23.90, 15.8, 1 1 1
39.52, 100.0, 2 2 0
46.71, 8.5, 3 1 1
57.13, 16.7, 4 0 0
62.80, 3.7, 3 3 1
71.69, 33.4, 4 2 2
76.80, 2.8, 5 1 1
85.09, 10.7, 4 4 0



The following is a computed X-ray diffraction stick pattern of Ti5FeSb2. It was derived from a DFT-relaxed cell (GGA-PBE, the Materials Project), using λ = 1.5418 Å (Cu Kα).
Lines closer than 0.1° are merged.

Cell and atoms:
a = 10.453 Å, b = 10.453 Å, c = 5.144 Å
α = 90.00°, β = 90.00°, γ = 90.00°
Space group I4/mcm (No. 140)
Inequivalent atoms, fractional coordinates:
Ti  0.000  0.500  0.250 x4
Ti  0.069  0.199  0.000 x16
Fe  0.000  0.000  0.250 x4
Sb  0.164  0.336  0.500 x8

Main lines, by angle (10 to 90 degrees two-theta):
two_theta, I (rel.), h k l
25.75, 66.8, 2 1 1
34.89, 21.2, 0 0 2
35.55, 17.1, 3 2 1
36.47, 26.1, 3 3 0
38.52, 23.9, 4 2 0
39.03, 32.2, 2 0 2
39.63, 100.0, 4 1 1
49.74, 14.8, 4 0 2
50.24, 11.6, 5 2 1
51.36, 22.5, 3 3 2
65.75, 20.7, 4 1 3
75.65, 14.7, 7 4 1



The following is a computed X-ray diffraction stick pattern of Cs2UHO2F4. It was derived from a DFT-relaxed cell (GGA-PBE, the Materials Project), using λ = 1.5418 Å (Cu Kα).
Lines closer than 0.1° are merged.

Cell and atoms:
a = 8.056 Å, b = 12.356 Å, c = 9.390 Å
α = 90.00°, β = 107.99°, γ = 90.00°
Space group P2_1/c (No. 14)
Inequivalent atoms, fractional coordinates:
Cs  0.130  0.246  0.066 x4
Cs  0.271  0.568  0.823 x4
U  0.280  0.550  0.338 x4
H  0.431  0.191  0.392 x4
O  0.218  0.609  0.495 x4
O  0.344  0.011  0.682 x4
F  0.016  0.609  0.195 x4
F  0.105  0.097  0.812 x4
F  0.346  0.710  0.273 x4
F  0.420  0.082  0.027 x4

Main lines, by angle (10 to 90 degrees two-theta):
two_theta, I (rel.), h k l
12.23, 20.6, 0 1 1
14.34, 24.0, 0 2 0
14.58, 25.8, 1 1 -1
21.16, 28.6, 0 1 2
23.22, 34.7, 2 0 0
24.43, 62.9, 1 2 -2
24.55, 100.0, 1 3 0
25.53, 25.5, 2 0 -2
26.02, 20.5, 1 0 2
27.39, 22.9, 2 2 0
38.31, 27.9, 1 0 -4
41.75, 42.4, 2 3 2



The following is a computed X-ray diffraction stick pattern of KNdO2. It was derived from a DFT-relaxed cell (GGA-PBE, the Materials Project), using λ = 1.5418 Å (Cu Kα).
Lines closer than 0.1° are merged.

Cell and atoms:
a = 3.6478 Å, b = 3.6478 Å, c = 18.8740 Å
α = 90.00°, β = 90.00°, γ = 120.00°
Space group R-3m (No. 166, hexagonal axes)
Inequivalent atoms, fractional coordinates:
K  0.0000  0.0000  0.0000 x3
Nd  0.0000  0.0000  0.5000 x3
O  0.0000  0.0000  0.2303 x6

Main lines, by angle (10 to 90 degrees two-theta):
two_theta, I (rel.), h k l
14.08, 80.9, 0 0 3
28.37, 30.2, 0 0 6
28.65, 33.3, 1 0 1
29.83, 71.8, 0 1 2
34.16, 100.0, 1 0 4
44.16, 17.7, 1 0 7
48.14, 32.7, 0 1 8
50.01, 33.0, 1 1 0
52.22, 17.8, 1 1 3
58.50, 24.1, 1 1 6
61.95, 16.1, 0 2 4
80.65, 16.1, 1 1 12



The following is a computed X-ray diffraction stick pattern of Sn2Rh. It was derived from a DFT-relaxed cell (GGA-PBE, the Materials Project), using λ = 1.5418 Å (Cu Kα).
Lines closer than 0.1° are merged.

Cell and atoms:
a = 12.439 Å, b = 6.416 Å, c = 6.410 Å
α = 90.00°, β = 90.00°, γ = 90.00°
Space group Cmce (No. 64)
Inequivalent atoms, fractional coordinates:
Sn  0.000  0.164  0.163 x8
Sn  0.250  0.247  0.750 x8
Rh  0.118  0.000  0.500 x8

Main lines, by angle (10 to 90 degrees two-theta):
two_theta, I (rel.), h k l
20.85, 15.4, 1 1 1
28.71, 14.8, 4 0 0
29.18, 27.8, 3 1 1
31.39, 13.7, 2 0 2
32.03, 20.0, 1 1 2
34.43, 18.0, 2 2 1
39.75, 42.2, 0 2 2
40.40, 100.0, 4 2 0
41.40, 17.4, 5 1 1
45.31, 35.7, 1 3 1
59.54, 13.6, 2 0 4
72.60, 16.8, 4 4 2



The following is a computed X-ray diffraction stick pattern of SiO2. It was derived from a DFT-relaxed cell (GGA-PBE, the Materials Project), using λ = 1.5418 Å (Cu Kα).
Lines closer than 0.1° are merged.

Cell and atoms:
a = 4.864 Å, b = 8.018 Å, c = 4.993 Å
α = 90.00°, β = 117.01°, γ = 90.00°
Space group P2_1 (No. 4)
Inequivalent atoms, fractional coordinates:
Si  0.060  0.000  0.364 x2
Si  0.265  0.374  0.289 x2
O  0.085  0.509  0.398 x2
O  0.147  0.187  0.302 x2
O  0.201  0.419  0.946 x2
O  0.365  0.882  0.498 x2

Main lines, by angle (10 to 90 degrees two-theta):
two_theta, I (rel.), h k l
19.96, 69.3, 0 0 1
20.49, 56.3, 1 0 0
21.15, 30.3, 1 0 -1
22.17, 100.0, 0 2 0
22.86, 45.1, 0 1 1
23.33, 57.1, 1 1 0
23.91, 58.5, 1 1 -1
30.37, 33.6, 1 2 0
30.83, 32.0, 1 2 -1
34.85, 28.4, 1 0 1
36.06, 24.5, 1 0 -2
63.16, 14.4, 2 4 0



The following is a computed X-ray diffraction stick pattern of LuMg2W3S8. It was derived from a DFT-relaxed cell (GGA-PBE, the Materials Project), using λ = 1.5418 Å (Cu Kα).
Lines closer than 0.1° are merged.

Cell and atoms:
a = 7.4564 Å, b = 7.4564 Å, c = 18.1231 Å
α = 90.00°, β = 90.00°, γ = 120.00°
Space group R-3m (No. 166, hexagonal axes)
Inequivalent atoms, fractional coordinates:
Lu  0.0000  0.0000  0.0000 x3
Mg  0.0000  0.0000  0.3750 x6
W  0.0000  0.5000  0.5000 x9
S  0.0000  0.0000  0.2382 x6
S  0.0162  0.5081  0.7598 x18

Main lines, by angle (10 to 90 degrees two-theta):
two_theta, I (rel.), h k l
14.56, 100.0, 1 0 1
14.66, 45.0, 0 0 3
28.11, 88.2, 0 2 1
28.23, 28.1, 0 1 5
29.37, 34.8, 2 0 2
34.10, 99.6, 0 2 4
37.17, 16.0, 2 1 1
44.73, 36.6, 0 3 3
48.86, 44.1, 2 2 0
49.13, 40.9, 2 0 8
51.28, 19.3, 2 2 3
60.92, 17.9, 4 0 4